# 1
Starting from a DFT-relaxed cell (GGA-PBE, the Materials Project), the powder diffractogram of Sm3CuSiSe7 was computed for copper Kα.
Neutral-atom scattering factors, no anomalous dispersion.

Structural model:
```
data_Sm3CuSiSe7
_space_group_name_H-M_alt 'P 1'
_space_group_IT_number 1
_cell_length_a 10.547
_cell_length_b 10.547
_cell_length_c 6.036
_cell_angle_alpha 90.00
_cell_angle_beta 90.00
_cell_angle_gamma 120.00
loop_
_space_group_symop_operation_xyz
'x,y,z'
loop_
_atom_site_label
_atom_site_type_symbol
_atom_site_fract_x
_atom_site_fract_y
_atom_site_fract_z
Sm1 Sm 0.127 0.355 0.000
Sm2 Sm 0.228 0.873 0.000
Sm3 Sm 0.355 0.228 0.500
Sm4 Sm 0.645 0.772 0.000
Sm5 Sm 0.772 0.127 0.500
Sm6 Sm 0.873 0.645 0.500
Cu1 Cu 0.000 0.000 0.481
Cu2 Cu 0.000 0.000 0.981
Si1 Si 0.333 0.667 0.588
Si2 Si 0.667 0.333 0.088
Se1 Se 0.092 0.257 0.485
Se2 Se 0.104 0.584 0.740
Se3 Se 0.165 0.908 0.485
Se4 Se 0.257 0.165 0.985
Se5 Se 0.333 0.667 0.212
Se6 Se 0.416 0.521 0.740
Se7 Se 0.479 0.896 0.740
Se8 Se 0.521 0.104 0.240
Se9 Se 0.584 0.479 0.240
Se10 Se 0.667 0.333 0.712
Se11 Se 0.743 0.835 0.485
Se12 Se 0.835 0.092 0.985
Se13 Se 0.896 0.416 0.240
Se14 Se 0.908 0.743 0.985
```

Top 6 peaks for 2θ = 10–80°, in order of rising 2θ:
d 2.997, 29.81°, intensity 70
d 2.866, 31.21°, intensity 78
d 2.637, 34.00°, intensity 76
d 2.533, 35.43°, intensity 100
d 2.336, 38.54°, intensity 66
d 2.272, 39.67°, intensity 72

=====

# 2
Starting from a DFT-relaxed cell (GGA-PBE, the Materials Project), the powder diffractogram of LiSbSe2 was computed for copper Kα.
Neutral-atom scattering factors, no anomalous dispersion.

Structural model:
```
data_LiSbSe2
_space_group_name_H-M_alt 'P 1'
_space_group_IT_number 1
_cell_length_a 7.047
_cell_length_b 7.047
_cell_length_c 7.047
_cell_angle_alpha 132.34
_cell_angle_beta 132.34
_cell_angle_gamma 69.70
loop_
_space_group_symop_operation_xyz
'x,y,z'
loop_
_atom_site_label
_atom_site_type_symbol
_atom_site_fract_x
_atom_site_fract_y
_atom_site_fract_z
Li1 Li 0.375 0.625 0.750
Li2 Li 0.625 0.375 0.250
Sb1 Sb 0.125 0.875 0.250
Sb2 Sb 0.875 0.125 0.750
Se1 Se 0.124 0.374 0.750
Se2 Se 0.374 0.124 0.250
Se3 Se 0.626 0.876 0.750
Se4 Se 0.876 0.626 0.250
```

Top 6 peaks for 2θ = 10–80°, in order of rising 2θ:
d 5.109, 17.36°, intensity 71
d 2.892, 30.93°, intensity 52
d 2.847, 31.42°, intensity 100
d 2.029, 44.67°, intensity 74
d 2.013, 45.03°, intensity 36
d 1.652, 55.63°, intensity 38

=====

# 3
Starting from a DFT-relaxed cell (GGA-PBE, the Materials Project), the powder diffractogram of MgO was computed for copper Kα.
Neutral-atom scattering factors, no anomalous dispersion.

Structural model:
```
data_MgO
_space_group_name_H-M_alt 'P 1'
_space_group_IT_number 1
_cell_length_a 2.661
_cell_length_b 2.661
_cell_length_c 2.661
_cell_angle_alpha 90.00
_cell_angle_beta 90.00
_cell_angle_gamma 90.00
loop_
_space_group_symop_operation_xyz
'x,y,z'
loop_
_atom_site_label
_atom_site_type_symbol
_atom_site_fract_x
_atom_site_fract_y
_atom_site_fract_z
Mg1 Mg 0.000 0.000 0.000
O1 O 0.500 0.500 0.500
```

Top 4 peaks for 2θ = 10–80°, in order of rising 2θ:
d 2.661, 33.68°, intensity 7
d 1.882, 48.37°, intensity 100
d 1.537, 60.23°, intensity 3
d 1.331, 70.81°, intensity 13